Structure and theoretical powder XRD pattern of Mg2CoH5 (a DFT-relaxed cell (PBE, OQMD); Cu Kα (weighted mean of Kα1 and Kα2)).

Atomic structure:
Cell lengths 4.392, 4.392, 6.497 Å; angles 90.00, 90.00, 90.00 degrees
Space group P4/nmm (No. 129, origin choice 2)
One atom of each set of equivalent atoms:
Mg 0.250 0.750 0.000 x2
Mg 0.250 0.750 0.500 x2
Co 0.250 0.250 0.243 x2
H 0.005 0.005 0.272 x8
H 0.250 0.250 0.002 x2

Top 11 peaks for 2θ from 5° to 70°, low angle first:
h k l  two_theta  d [Å]  I/Imax
1 0 1  24.47  3.638  100
0 0 2  27.46  3.248  1
1 1 0  28.75  3.105  1
1 1 2  40.17  2.245  84
2 0 0  41.11  2.196  38
1 0 3  46.77  1.942  16
2 1 1  48.42  1.880  29
0 0 4  56.67  1.624  8
2 2 0  59.54  1.553  13
2 1 3  64.00  1.455  11
3 0 1  65.34  1.428  5